Starting from a GGA-PBE-relaxed structure, the powder XRD pattern of CsIn2TePt was computed for CuKα.
No peak broadening, texture or thermal motion is included.

abc: 6.348 6.348 5.054
angles: 90.00 90.00 90.00
Sites, in units of the cell vectors:
Cs 0.000 0.000 0.000
In 0.000 0.500 0.500
In 0.500 0.000 0.500
Te 0.500 0.500 0.500
Pt 0.500 0.500 0.000

Top 6 peaks for 2θ from 10° to 90°, low angle first:
d (Å)  Rel. int.
6.348  38
3.356  93
3.174  100
2.244  38
1.977  52
1.866  35

=====

Starting from a GGA-PBE-relaxed structure, the powder XRD pattern of KMgCl3 was computed for CuKα.
No peak broadening, texture or thermal motion is included.

abc: 9.002 3.846 14.580
angles: 90.00 90.00 90.00
Sites, in units of the cell vectors:
K 0.057 0.250 0.177
K 0.443 0.750 0.677
K 0.557 0.250 0.323
K 0.943 0.750 0.823
Mg 0.163 0.750 0.448
Mg 0.337 0.250 0.948
Mg 0.663 0.750 0.052
Mg 0.837 0.250 0.552
Cl 0.018 0.750 0.597
Cl 0.178 0.750 0.007
Cl 0.227 0.250 0.796
Cl 0.273 0.750 0.296
Cl 0.322 0.250 0.507
Cl 0.482 0.250 0.097
Cl 0.518 0.750 0.903
Cl 0.678 0.750 0.493
Cl 0.727 0.250 0.704
Cl 0.773 0.750 0.204
Cl 0.822 0.250 0.993
Cl 0.982 0.250 0.403

Top 6 peaks for 2θ from 10° to 90°, low angle first:
d (Å)  Rel. int.
2.864  100
2.833  23
2.774  43
2.714  42
1.984  15
1.923  18

=====

Starting from a GGA-PBE-relaxed structure, the powder XRD pattern of NdSm7Dy4 was computed for CuKα.
No peak broadening, texture or thermal motion is included.

abc: 6.299 7.267 8.966
angles: 89.99 76.35 89.99
Sites, in units of the cell vectors:
Nd 0.000 0.000 0.000
Sm 0.000 0.500 0.000
Sm 0.222 0.000 0.334
Sm 0.280 0.748 0.665
Sm 0.500 0.252 0.999
Sm 0.500 0.748 0.001
Sm 0.720 0.252 0.335
Sm 0.778 0.000 0.666
Dy 0.219 0.500 0.334
Dy 0.279 0.252 0.666
Dy 0.721 0.748 0.334
Dy 0.781 0.500 0.666

Top 6 peaks for 2θ from 10° to 90°, low angle first:
d (Å)  Rel. int.
3.126  36
2.904  51
2.836  100
2.697  89
1.818  39
1.540  38

=====

Starting from a GGA-PBE-relaxed structure, the powder XRD pattern of Cr2Co2Ni3 was computed for CuKα.
No peak broadening, texture or thermal motion is included.

abc: 4.640 4.640 8.849
angles: 90.00 90.00 123.42
Sites, in units of the cell vectors:
Cr 0.197 0.303 0.250
Cr 0.303 0.197 0.750
Cr 0.697 0.803 0.250
Cr 0.803 0.697 0.750
Co 0.199 0.801 0.313
Co 0.301 0.699 0.813
Co 0.699 0.301 0.187
Co 0.801 0.199 0.687
Ni 0.000 0.000 0.500
Ni 0.155 0.845 0.043
Ni 0.345 0.655 0.543
Ni 0.500 0.500 0.000
Ni 0.655 0.345 0.457
Ni 0.845 0.155 0.957

Top 6 peaks for 2θ from 10° to 90°, low angle first:
d (Å)  Rel. int.
2.240  70
1.991  61
1.921  88
1.892  51
1.822  100
1.774  47